Computed powder diffractogram
Compound: LaTlZn
Radiation: Cu Kα, 1.54184 Å
Structure: a DFT-relaxed cell (PBE, Alexandria)
Intensities are scaled so that the largest is 100.

Structure:
a = 6.798 Å, b = 6.798 Å, c = 6.798 Å
α = 141.33°, β = 123.63°, γ = 70.45°
Element x y z (fractional)
La  0.191  0.191  0.000
La  0.809  0.809  0.000
Tl  0.253  0.500  0.753
Tl  0.747  0.500  0.247
Zn  0.381  0.881  0.500
Zn  0.619  0.119  0.500

Principal peaks in the range 2θ = 10–80°, in order of rising 2θ:
2theta  d (Å)  Rel. int.
31.28  2.859  100
32.21  2.779  66
35.28  2.544  99
40.06  2.251  32
43.08  2.100  32
52.31  1.749  35
54.19  1.693  24
60.28  1.535  23

---

Computed powder diffractogram
Compound: La14TlZn
Radiation: Cu Kα, 1.54184 Å
Structure: a DFT-relaxed cell (PBE, Alexandria)
Intensities are scaled so that the largest is 100.

Structure:
a = 7.089 Å, b = 7.089 Å, c = 12.106 Å
α = 90.00°, β = 90.00°, γ = 114.29°
Element x y z (fractional)
La  0.000  0.000  0.000
La  0.000  0.500  0.000
La  0.000  0.500  0.500
La  0.229  0.771  0.249
La  0.229  0.771  0.751
La  0.271  0.271  0.280
La  0.271  0.271  0.720
La  0.500  0.000  0.000
La  0.500  0.000  0.500
La  0.500  0.500  0.000
La  0.729  0.729  0.280
La  0.729  0.729  0.720
La  0.771  0.229  0.249
La  0.771  0.229  0.751
Tl  0.000  0.000  0.500
Zn  0.500  0.500  0.500

Principal peaks in the range 2θ = 10–80°, in order of rising 2θ:
2theta  d (Å)  Rel. int.
29.51  3.027  27
30.01  2.977  28
31.39  2.850  100
42.60  2.122  19
53.55  1.711  17
54.16  1.693  18
57.01  1.615  9
65.50  1.425  10